[1]
Computed powder diffraction line list of NaSrHg2Au2 for Cu Kα (weighted mean of Kα1 and Kα2), from a crystal structure in Alexandria, relaxed with PBE.
Lines closer than 0.1° are merged.

Structure:
abc: 4.9466 4.9466 7.0925
angles: 90.00 90.00 120.00
Space group P-3m1 (No. 164)
Unique sites:
Na: 0.0000 0.0000 0.0000
Sr: 0.0000 0.0000 0.5000
Hg: 0.3333 0.6667 0.7935
Au: 0.3333 0.6667 0.2417

Main lines, most intense first (2θ from 5° to 70°):
h k l, d_spacing, two_theta, I/Imax
1 1 0, 2.473, 36.3, 1000
1 0 2, 2.732, 32.8, 800
1 1 2, 2.029, 44.7, 535
0 0 2, 3.546, 25.1, 396
1 0 0, 4.284, 20.7, 386
0 2 2, 1.833, 49.7, 251
2 1 2, 1.473, 63.1, 246
1 1 4, 1.441, 64.7, 213
3 0 0, 1.428, 65.3, 183
1 1 3, 1.709, 53.6, 141
1 0 1, 3.667, 24.3, 111
0 0 4, 1.773, 51.5, 70

---

[2]
Computed powder diffraction line list of CdFeAsSe2 for Cu Kα (weighted mean of Kα1 and Kα2), from a crystal structure in Alexandria, relaxed with PBE.
Lines closer than 0.1° are merged.

Structure:
abc: 4.9532 4.9532 4.4533
angles: 90.00 90.00 90.00
Space group P4/mmm (No. 123)
Unique sites:
Cd: 0.0000 0.0000 0.0000
Fe: 0.5000 0.5000 0.5000
As: 0.5000 0.5000 0.0000
Se: 0.0000 0.5000 0.5000

Main lines, most intense first (2θ from 5° to 70°):
h k l, d_spacing, two_theta, I/Imax
1 1 1, 2.753, 32.5, 1000
2 0 0, 2.477, 36.3, 732
2 0 2, 1.656, 55.5, 412
3 1 1, 1.478, 62.9, 291
0 0 2, 2.227, 40.5, 267
2 2 0, 1.751, 52.2, 249
2 2 2, 1.377, 68.1, 218
1 0 1, 3.312, 26.9, 181
1 1 3, 1.367, 68.7, 112
1 1 0, 3.502, 25.4, 95
2 1 1, 1.983, 45.7, 81
1 1 2, 1.879, 48.4, 31

---

[3]
Computed powder diffraction line list of La4Ti3S4O8 for Cu Kα (weighted mean of Kα1 and Kα2), from a crystal structure in Alexandria, relaxed with PBE.
Lines closer than 0.1° are merged.

Structure:
abc: 18.6553 3.9556 17.9241
angles: 90.00 110.35 90.00
Space group C2 (No. 5)
Unique sites:
La: 0.0509 0.0000 0.1843
La: 0.1345 0.9849 0.4387
La: 0.1882 0.9937 0.6766
La: 0.2028 0.4808 0.0708
Ti: 0.0000 0.3024 0.5000
Ti: 0.0000 0.5797 0.0000
Ti: 0.0096 0.5267 0.6889
Ti: 0.1502 0.4537 0.8276
S: 0.0798 0.9762 0.9715
S: 0.1318 0.4881 0.3101
S: 0.2127 0.4971 0.5646
S: 0.2166 0.9895 0.1993
O: 0.0067 0.9822 0.3102
O: 0.0415 0.4786 0.4248
O: 0.0436 0.4793 0.8070
O: 0.0656 0.4896 0.1037
O: 0.0760 0.0210 0.5511
O: 0.1143 0.4950 0.7028
O: 0.1656 0.9931 0.8214
O: 0.2167 0.4839 0.9348

Main lines, most intense first (2θ from 5° to 70°):
h k l, d_spacing, two_theta, I/Imax
3 1 -1, 3.338, 26.7, 1000
1 1 -4, 2.957, 30.2, 817
1 1 4, 2.739, 32.7, 683
4 0 -1, 4.644, 19.1, 567
6 0 2, 2.499, 35.9, 487
0 2 0, 1.978, 45.9, 424
6 0 -2, 3.107, 28.7, 414
3 1 -9, 1.778, 51.4, 374
0 0 8, 2.101, 43.1, 354
7 1 -2, 2.208, 40.9, 354
5 1 2, 2.335, 38.6, 340
4 0 -5, 3.271, 27.3, 338